Diffraction record for EuTm. The XRD peak list is computed, not measured: it uses a PBE-relaxed structure and Cu Ka.

Cell: 3.570 5.726 7.069 Å, 90.00 104.05 90.00°
Fractional positions:
Eu1 0.165 0.250 0.342
Eu2 0.835 0.750 0.658
Tm1 0.442 0.250 0.874
Tm2 0.558 0.750 0.126

Peak list (6 most intense, 5° ≤ 2θ ≤ 70°, low angle first)
- d = 2.963 Å, 30.16 deg, I = 40
- d = 2.953 Å, 30.27 deg, I = 45
- d = 2.942 Å, 30.39 deg, I = 100
- d = 2.863 Å, 31.24 deg, I = 51
- d = 2.828 Å, 31.64 deg, I = 23
- d = 2.800 Å, 31.96 deg, I = 21

Diffraction record for Pr6Ru2Br3F. The XRD peak list is computed, not measured: it uses a PBE-relaxed structure and Cu Ka.

Cell: 7.078 7.078 8.254 Å, 98.23 98.23 120.09°
Fractional positions:
Pr1 0.092 0.434 0.804
Pr2 0.224 0.224 0.194
Pr3 0.434 0.092 0.804
Pr4 0.566 0.908 0.196
Pr5 0.776 0.776 0.806
Pr6 0.908 0.566 0.196
Ru1 0.167 0.833 0.000
Ru2 0.833 0.167 0.000
Br1 0.000 0.000 0.500
Br2 0.330 0.670 0.500
Br3 0.670 0.330 0.500
F1 0.500 0.500 0.000

Peak list (6 most intense, 5° ≤ 2θ ≤ 70°, low angle first)
- d = 7.907 Å, 11.19 deg, I = 14
- d = 3.038 Å, 29.40 deg, I = 100
- d = 2.836 Å, 31.55 deg, I = 12
- d = 2.447 Å, 36.73 deg, I = 12
- d = 2.272 Å, 39.66 deg, I = 29
- d = 2.042 Å, 44.36 deg, I = 36

Diffraction record for Th6HgC3. The XRD peak list is computed, not measured: it uses a PBE-relaxed structure and Cu Ka.

Cell: 11.657 3.669 11.778 Å, 90.00 107.53 90.00°
Fractional positions:
Th1 0.042 0.250 0.378
Th2 0.159 0.750 0.144
Th3 0.261 0.250 0.671
Th4 0.331 0.750 0.445
Th5 0.361 0.750 0.956
Th6 0.445 0.250 0.235
Th7 0.555 0.750 0.765
Th8 0.639 0.250 0.044
Th9 0.669 0.250 0.555
Th10 0.739 0.750 0.329
Th11 0.841 0.250 0.856
Th12 0.958 0.750 0.622
Hg1 0.116 0.250 0.876
Hg2 0.884 0.750 0.124
C1 0.145 0.750 0.526
C2 0.235 0.250 0.290
C3 0.452 0.250 0.859
C4 0.548 0.750 0.141
C5 0.765 0.750 0.710
C6 0.855 0.250 0.474

Peak list (6 most intense, 5° ≤ 2θ ≤ 70°, low angle first)
- d = 3.241 Å, 27.52 deg, I = 36
- d = 3.088 Å, 28.91 deg, I = 31
- d = 2.941 Å, 30.40 deg, I = 66
- d = 2.898 Å, 30.85 deg, I = 55
- d = 2.842 Å, 31.48 deg, I = 100
- d = 1.901 Å, 47.84 deg, I = 28